For Mn4Be3Si3SO12, DFT lattice parameters and positions (GGA+U) gives the calculated powder X-ray diffraction pattern in this record (Cu Kα (λ = 1.5418 Å)).

Peak list (10 most intense, 15° ≤ 2θ ≤ 90°, in order of rising 2θ)
26.03 deg, rel. 100, (2 1 1); 33.80 deg, rel. 14, (3 1 0); 40.24 deg, rel. 19, (3 2 1); 45.91 deg, rel. 52, (3 3 0); 53.53 deg, rel. 9, (4 2 2); 64.83 deg, rel. 9, (5 3 0); 66.95 deg, rel. 11, (6 0 0); 69.04 deg, rel. 9, (5 3 2); 73.14 deg, rel. 10, (5 4 1); 84.99 deg, rel. 11, (6 3 3)

Structure:
```
data_Mn4Be3Si3SO12
_symmetry_space_group_name_H-M 'P -4 3 n'
_symmetry_Int_Tables_number 218
_symmetry_space_group_name_Hall 'P -4n 2 3'
_cell_length_a 8.386
_cell_length_b 8.386
_cell_length_c 8.386
_cell_angle_alpha 90.00
_cell_angle_beta 90.00
_cell_angle_gamma 90.00
loop_
_atom_site_label
_atom_site_type_symbol
_atom_site_fract_x
_atom_site_fract_y
_atom_site_fract_z
_atom_site_occupancy
Mn1 Mn 0.171 0.171 0.171 1
Be1 Be 0.000 0.250 0.500 1
Si1 Si 0.000 0.500 0.250 1
S1 S 0.000 0.000 0.000 1
O1 O 0.082 0.358 0.642 1
```